Cs2NiTe2O6: calculated powder XRD pattern (Cu Kα (weighted mean of Kα1 and Kα2)), based on a DFT-relaxed cell (GGA+U, Alexandria).
Kinematic intensities with the Lorentz-polarization factor, no thermal factor.

Structure:
```
11
Lattice="7.200 -2.797 0.000 7.200 2.797 0.000 -4.576 0.000 6.923" Properties=species:S:1:pos:R:3 pbc="T T T"
Cs 1.947 0.000 1.751
Cs 7.877 0.000 5.172
Ni -2.288 0.000 3.462
Te 5.797 0.000 1.371
Te 4.027 0.000 5.552
O 4.776 1.461 2.009
O 5.048 1.461 4.915
O 2.422 0.000 4.594
O 7.402 0.000 2.329
O 4.776 -1.461 2.009
O 5.048 -1.461 4.915
```

Largest 10 diffraction maxima, in order of rising 2θ, 2θ from 5° to 70°:
17.49°, d 5.071, intensity 25.5
24.05°, d 3.701, intensity 100.0
24.44°, d 3.642, intensity 30.3
24.98°, d 3.565, intensity 49.8
25.74°, d 3.462, intensity 54.7
27.39°, d 3.256, intensity 29.6
27.61°, d 3.230, intensity 27.1
27.96°, d 3.191, intensity 97.4
32.00°, d 2.797, intensity 40.9
47.16°, d 1.927, intensity 31.8